This entry pairs a crystal structure of AcPrTeN with its computed powder X-ray diffraction pattern. Radiation: CuKα. Structure: a DFT-relaxed cell (PBE, Alexandria).
Intensities are scaled so that the largest is 100.

Structural model:
```
data_AcPrTeN
_chemical_formula_sum 'Ac2 Pr2 Te2 N2'
_cell_length_a 3.988
_cell_length_b 4.088
_cell_length_c 13.865
_cell_angle_alpha 90.00
_cell_angle_beta 90.00
_cell_angle_gamma 90.00
_space_group_name_H-M_alt 'I m m 2'
_space_group_IT_number 44
_space_group_name_Hall 'I 2 -2'
loop_
_atom_site_label
_atom_site_fract_x
_atom_site_fract_y
_atom_site_fract_z
Ac1 0.000 0.000 0.000
Pr1 0.000 0.000 0.301
Te1 0.000 0.000 0.659
N1 0.000 0.500 0.898
```

Most intense lines, 2θ from 5° to 70°, in order of rising 2θ:
- (0 1 3), 29.2°, rel. 100
- (1 0 3), 29.6°, rel. 95
- (1 1 0), 31.3°, rel. 83
- (0 0 6), 39.0°, rel. 17
- (1 1 4), 41.0°, rel. 14
- (0 2 0), 44.3°, rel. 18
- (2 0 0), 45.5°, rel. 17
- (1 1 6), 50.8°, rel. 37
- (1 2 3), 54.2°, rel. 35
- (2 1 3), 54.9°, rel. 34


This entry pairs a crystal structure of Ac4Pr3UN8 with its computed powder X-ray diffraction pattern. Radiation: CuKα. Structure: a DFT-relaxed cell (PBE, Alexandria).
Intensities are scaled so that the largest is 100.

Structural model:
```
data_Ac4Pr3UN8
_chemical_formula_sum 'Ac12 Pr9 U3 N24'
_cell_length_a 7.4445
_cell_length_b 7.4445
_cell_length_c 18.6021
_cell_angle_alpha 90.00
_cell_angle_beta 90.00
_cell_angle_gamma 120.00
_space_group_name_H-M_alt 'R -3 m'
_space_group_IT_number 166
_space_group_name_Hall '-R 3 2"'
loop_
_atom_site_label
_atom_site_fract_x
_atom_site_fract_y
_atom_site_fract_z
Ac1 0.0000 0.0000 0.0000
Ac2 0.0000 0.5000 0.0000
Pr1 0.0000 0.5000 0.5000
U1 0.0000 0.0000 0.5000
N1 0.0000 0.0000 0.2455
N2 0.0381 0.5191 0.2365
```

Most intense lines, 2θ from 5° to 70°, in order of rising 2θ:
- (0 0 6), 28.8°, rel. 35
- (2 0 2), 29.3°, rel. 100
- (0 2 4), 33.8°, rel. 91
- (2 0 8), 48.3°, rel. 33
- (2 2 0), 48.9°, rel. 32
- (0 2 10), 57.2°, rel. 17
- (2 2 6), 57.8°, rel. 32
- (0 4 2), 58.1°, rel. 16
- (0 0 12), 59.6°, rel. 6
- (4 0 4), 60.8°, rel. 17


This entry pairs a crystal structure of Ac2PrU3N8 with its computed powder X-ray diffraction pattern. Radiation: CuKα. Structure: a DFT-relaxed cell (PBE, Alexandria).
Intensities are scaled so that the largest is 100.

Structural model:
```
data_Ac2PrU3N8
_chemical_formula_sum 'Ac6 Pr3 U9 N24'
_cell_length_a 7.0674
_cell_length_b 7.0674
_cell_length_c 17.9914
_cell_angle_alpha 90.00
_cell_angle_beta 90.00
_cell_angle_gamma 120.00
_space_group_name_H-M_alt 'R 3 m'
_space_group_IT_number 160
_space_group_name_Hall 'R 3 -2"'
loop_
_atom_site_label
_atom_site_fract_x
_atom_site_fract_y
_atom_site_fract_z
Ac1 0.0000 0.0000 0.0000
Ac2 0.0000 0.0000 0.3828
Pr1 0.0000 0.0000 0.7674
U1 0.0010 0.5005 0.8824
N1 0.0000 0.0000 0.1540
N2 0.0000 0.0000 0.6131
N3 0.0322 0.5161 0.1514
N4 0.1881 0.3763 0.9462
```

Most intense lines, 2θ from 5° to 70°, in order of rising 2θ:
- (1 0 4), 24.6°, rel. 24
- (0 1 5), 28.8°, rel. 68
- (1 1 3), 29.3°, rel. 100
- (0 2 1), 29.6°, rel. 58
- (2 0 2), 30.9°, rel. 71
- (0 2 4), 35.5°, rel. 29
- (1 2 5), 46.7°, rel. 40
- (0 3 3), 47.0°, rel. 28
- (2 0 8), 50.4°, rel. 43
- (2 2 0), 51.7°, rel. 44


This entry pairs a crystal structure of AcPrZnN2 with its computed powder X-ray diffraction pattern. Radiation: CuKα. Structure: a DFT-relaxed cell (PBE, Alexandria).
Intensities are scaled so that the largest is 100.

Structural model:
```
data_AcPrZnN2
_chemical_formula_sum 'Ac2 Pr2 Zn2 N4'
_cell_length_a 5.286
_cell_length_b 5.635
_cell_length_c 7.111
_cell_angle_alpha 90.00
_cell_angle_beta 90.00
_cell_angle_gamma 90.00
_space_group_name_H-M_alt 'P c c m'
_space_group_IT_number 49
_space_group_name_Hall '-P 2 2c'
loop_
_atom_site_label
_atom_site_fract_x
_atom_site_fract_y
_atom_site_fract_z
Ac1 0.000 0.000 0.250
Pr1 0.500 0.500 0.250
Zn1 0.000 0.500 0.000
N1 0.259 0.259 0.000
```

Most intense lines, 2θ from 5° to 70°, in order of rising 2θ:
- (1 0 0), 16.8°, rel. 16
- (1 1 0), 23.1°, rel. 61
- (0 0 2), 25.0°, rel. 20
- (0 2 0), 31.8°, rel. 27
- (2 0 0), 33.9°, rel. 23
- (1 1 2), 34.3°, rel. 100
- (0 2 2), 40.9°, rel. 17
- (2 2 0), 47.1°, rel. 23
- (1 3 2), 58.2°, rel. 22
- (3 1 2), 60.9°, rel. 19


This entry pairs a crystal structure of Ac3PtN with its computed powder X-ray diffraction pattern. Radiation: CuKα. Structure: a DFT-relaxed cell (PBE, Alexandria).
Intensities are scaled so that the largest is 100.

Structural model:
```
data_Ac3PtN
_chemical_formula_sum 'Ac6 Pt2 N2'
_cell_length_a 4.269
_cell_length_b 8.652
_cell_length_c 8.668
_cell_angle_alpha 74.94
_cell_angle_beta 89.45
_cell_angle_gamma 89.46
_space_group_name_H-M_alt 'P -1'
_space_group_IT_number 2
_space_group_name_Hall '-P 1'
loop_
_atom_site_label
_atom_site_fract_x
_atom_site_fract_y
_atom_site_fract_z
Ac1 0.227 0.063 0.190
Ac2 0.227 0.690 0.564
Ac3 0.230 0.614 0.115
Pt1 0.239 0.215 0.714
N1 0.001 0.663 0.837
```

Most intense lines, 2θ from 5° to 70°, in order of rising 2θ:
- (0 2 2), 25.9°, rel. 34
- (0 2 -1), 26.2°, rel. 40
- (1 2 1), 29.7°, rel. 35
- (1 0 2), 29.8°, rel. 69
- (1 0 -2), 30.0°, rel. 100
- (1 2 -1), 33.7°, rel. 27
- (0 4 1), 41.7°, rel. 34
- (2 0 0), 42.3°, rel. 31
- (1 4 -1), 52.3°, rel. 17
- (1 -4 1), 52.5°, rel. 17


This entry pairs a crystal structure of Ac6RuPt2N with its computed powder X-ray diffraction pattern. Radiation: CuKα. Structure: a DFT-relaxed cell (PBE, Alexandria).
Intensities are scaled so that the largest is 100.

Structural model:
```
data_Ac6RuPt2N
_chemical_formula_sum 'Ac6 Ru1 Pt2 N1'
_cell_length_a 7.253
_cell_length_b 7.452
_cell_length_c 7.967
_cell_angle_alpha 92.80
_cell_angle_beta 114.49
_cell_angle_gamma 118.09
_space_group_name_H-M_alt 'P 1'
_space_group_IT_number 1
_space_group_name_Hall 'P 1'
loop_
_atom_site_label
_atom_site_fract_x
_atom_site_fract_y
_atom_site_fract_z
Ac1 0.000 0.000 0.000
Ac2 0.005 0.800 0.510
Ac3 0.355 0.659 0.993
Ac4 0.388 0.508 0.496
Ac5 0.662 0.323 0.049
Ac6 0.673 0.168 0.517
Ru1 0.527 0.909 0.779
Pt1 0.179 0.743 0.247
Pt2 0.180 0.242 0.736
N1 0.619 0.431 0.350
```

Most intense lines, 2θ from 5° to 70°, in order of rising 2θ:
- (1 1 0), 26.6°, rel. 43
- (1 -2 1), 26.9°, rel. 42
- (1 1 -2), 27.2°, rel. 100
- (-1 2 1), 27.6°, rel. 56
- (-2 1 2), 28.4°, rel. 31
- (2 -1 1), 34.9°, rel. 51
- (-2 1 3), 36.9°, rel. 27
- (0 3 -1), 41.2°, rel. 39
- (3 0 -2), 42.4°, rel. 30
- (-3 3 1), 43.1°, rel. 31


This entry pairs a crystal structure of Ac5Sn2PtN with its computed powder X-ray diffraction pattern. Radiation: CuKα. Structure: a DFT-relaxed cell (PBE, Alexandria).
Intensities are scaled so that the largest is 100.

Structural model:
```
data_Ac5Sn2PtN
_chemical_formula_sum 'Ac20 Sn8 Pt4 N4'
_cell_length_a 4.703
_cell_length_b 19.383
_cell_length_c 13.480
_cell_angle_alpha 90.00
_cell_angle_beta 90.00
_cell_angle_gamma 90.00
_space_group_name_H-M_alt 'C m c 21'
_space_group_IT_number 36
_space_group_name_Hall 'C 2c -2'
loop_
_atom_site_label
_atom_site_fract_x
_atom_site_fract_y
_atom_site_fract_z
Ac1 0.000 0.011 0.000
Ac2 0.000 0.159 0.243
Ac3 0.000 0.167 0.619
Ac4 0.000 0.215 0.916
Ac5 0.000 0.474 0.231
Sn1 0.000 0.367 0.564
Sn2 0.000 0.392 0.922
Pt1 0.000 0.312 0.272
N1 0.000 0.041 0.659
```

Most intense lines, 2θ from 5° to 70°, in order of rising 2θ:
- (1 1 2), 23.5°, rel. 17
- (1 3 2), 26.9°, rel. 32
- (0 4 3), 27.1°, rel. 14
- (0 6 0), 27.6°, rel. 19
- (1 1 3), 27.8°, rel. 100
- (0 6 1), 28.4°, rel. 23
- (0 6 2), 30.6°, rel. 24
- (1 5 2), 32.8°, rel. 36
- (2 0 0), 38.3°, rel. 32
- (2 6 1), 48.4°, rel. 18


This entry pairs a crystal structure of Ac2PuTe2N2 with its computed powder X-ray diffraction pattern. Radiation: CuKα. Structure: a DFT-relaxed cell (PBE, Alexandria).
Intensities are scaled so that the largest is 100.

Structural model:
```
data_Ac2PuTe2N2
_chemical_formula_sum 'Ac4 Pu2 Te4 N4'
_cell_length_a 4.510
_cell_length_b 4.510
_cell_length_c 17.351
_cell_angle_alpha 90.00
_cell_angle_beta 90.00
_cell_angle_gamma 90.00
_space_group_name_H-M_alt 'I 4/m m m'
_space_group_IT_number 139
_space_group_name_Hall '-I 4 2'
loop_
_atom_site_label
_atom_site_fract_x
_atom_site_fract_y
_atom_site_fract_z
Ac1 0.000 0.000 0.109
Pu1 0.000 0.000 0.500
Te1 0.000 0.000 0.319
N1 0.000 0.500 0.000
```

Most intense lines, 2θ from 5° to 70°, in order of rising 2θ:
- (0 0 2), 10.2°, rel. 17
- (1 0 3), 25.0°, rel. 10
- (1 1 0), 28.0°, rel. 79
- (1 0 5), 32.6°, rel. 100
- (2 0 0), 40.0°, rel. 35
- (2 1 5), 52.5°, rel. 53
- (2 2 0), 57.8°, rel. 12
- (1 1 10), 60.8°, rel. 11
- (3 1 0), 65.4°, rel. 15
- (3 0 5), 68.0°, rel. 12


Please write out number 2 again, unchanged.
This entry pairs a crystal structure of Ac4Pr3UN8 with its computed powder X-ray diffraction pattern. Radiation: CuKα. Structure: a DFT-relaxed cell (PBE, Alexandria).
Intensities are scaled so that the largest is 100.

Structural model:
```
data_Ac4Pr3UN8
_chemical_formula_sum 'Ac12 Pr9 U3 N24'
_cell_length_a 7.4445
_cell_length_b 7.4445
_cell_length_c 18.6021
_cell_angle_alpha 90.00
_cell_angle_beta 90.00
_cell_angle_gamma 120.00
_space_group_name_H-M_alt 'R -3 m'
_space_group_IT_number 166
_space_group_name_Hall '-R 3 2"'
loop_
_atom_site_label
_atom_site_fract_x
_atom_site_fract_y
_atom_site_fract_z
Ac1 0.0000 0.0000 0.0000
Ac2 0.0000 0.5000 0.0000
Pr1 0.0000 0.5000 0.5000
U1 0.0000 0.0000 0.5000
N1 0.0000 0.0000 0.2455
N2 0.0381 0.5191 0.2365
```

Most intense lines, 2θ from 5° to 70°, in order of rising 2θ:
- (0 0 6), 28.8°, rel. 35
- (2 0 2), 29.3°, rel. 100
- (0 2 4), 33.8°, rel. 91
- (2 0 8), 48.3°, rel. 33
- (2 2 0), 48.9°, rel. 32
- (0 2 10), 57.2°, rel. 17
- (2 2 6), 57.8°, rel. 32
- (0 4 2), 58.1°, rel. 16
- (0 0 12), 59.6°, rel. 6
- (4 0 4), 60.8°, rel. 17